Diffraction record for Ac2PaS5. The powder X-ray diffraction pattern is theoretical, not measured: it uses DFT lattice parameters and positions (GGA-PBE) and Cu Kα.
Lines closer than 0.1° are merged.

Main lines, sorted by position (2θ = 10–80°):
hkl 0 0 2, 23.0 deg, I = 473
hkl 3 0 1, 24.5 deg, I = 1000
hkl 1 2 1, 25.1 deg, I = 744
hkl 2 2 0, 25.5 deg, I = 528
hkl 2 2 2, 34.6 deg, I = 541
hkl 6 0 0, 44.1 deg, I = 514

Structural model:
```
data_Ac2PaS5
_chemical_formula_sum 'Ac8 Pa4 S20'
_space_group_name_H-M_alt 'P n m a'
_space_group_IT_number 62
_cell_length_a 12.329
_cell_length_b 8.462
_cell_length_c 7.730
_cell_angle_alpha 90.00
_cell_angle_beta 90.00
_cell_angle_gamma 90.00
loop_
_space_group_symop_operation_xyz
'x,y,z'
'-x,-y,-z'
'-x+1/2,-y,z+1/2'
'x+1/2,y,-z+1/2'
'x+1/2,-y+1/2,-z+1/2'
'-x+1/2,y+1/2,z+1/2'
'-x,y+1/2,-z'
'x,-y+1/2,z'
loop_
_atom_site_label
_atom_site_type_symbol
_atom_site_fract_x
_atom_site_fract_y
_atom_site_fract_z
Ac1 Ac 0.174 0.002 0.037
Pa1 Pa 0.006 0.250 0.562
S1 S 0.003 0.250 0.943
S2 S 0.089 0.536 0.663
S3 S 0.187 0.250 0.342
S4 S 0.210 0.750 0.319
```